[1]
Computed powder X-ray diffraction pattern of Li3Sn2Hg2 for Cu Kα (weighted mean of Kα1 and Kα2), from a PBE-relaxed structure.

Top 10 peaks for 2θ from 15° to 90°, low angle first:
d/Å	intensity	hkl
4.075	87	1 1 0
3.636	36	1 3 0
3.164	89	0 0 1
2.847	39	0 8 0
2.558	100	1 7 0
2.499	57	1 1 1
2.116	38	0 8 1
2.071	31	2 0 0
1.989	88	1 7 1
1.733	32	2 0 1

Atomic structure:
Unit cell a=4.142 b=22.774 c=3.164 alpha=90.00 beta=90.00 gamma=90.00
Space group Cmmm (No. 65)
Asymmetric unit:
Li  0.000  0.000  0.000 (multiplicity 2)
Li  0.000  0.142  0.000 (multiplicity 4)
Sn  0.000  0.430  0.500 (multiplicity 4)
Hg  0.000  0.295  0.500 (multiplicity 4)

***

[2]
Computed powder X-ray diffraction pattern of Li7SnHg2 for Cu Kα (weighted mean of Kα1 and Kα2), from a PBE-relaxed structure.

Top 10 peaks for 2θ from 15° to 90°, low angle first:
d/Å	intensity	hkl
5.056	16	0 0 2
3.757	100	1 0 1
3.159	48	0 1 2
2.590	23	1 0 3
2.336	34	1 1 0
2.144	26	0 1 4
1.984	18	0 2 1
1.920	17	1 1 3
1.529	14	1 1 5
1.512	15	2 1 1

Atomic structure:
Unit cell a=4.6725 b=4.6725 c=10.1121 alpha=90.00 beta=90.00 gamma=120.00
Space group P3m1 (No. 156)
Asymmetric unit:
Li  0.0000  0.0000  0.0000 (multiplicity 1)
Li  0.0000  0.0000  0.2400 (multiplicity 1)
Li  0.0000  0.0000  0.7493 (multiplicity 1)
Li  0.3333  0.6667  0.4000 (multiplicity 1)
Li  0.3333  0.6667  0.8104 (multiplicity 1)
Li  0.6667  0.3333  0.1916 (multiplicity 1)
Li  0.6667  0.3333  0.5972 (multiplicity 1)
Sn  0.3333  0.6667  0.1062 (multiplicity 1)
Hg  0.0000  0.0000  0.4947 (multiplicity 1)
Hg  0.6667  0.3333  0.8840 (multiplicity 1)

***

[3]
Computed powder X-ray diffraction pattern of Li2Sn2Hg for Cu Kα (weighted mean of Kα1 and Kα2), from a PBE-relaxed structure.

Top 10 peaks for 2θ from 15° to 90°, low angle first:
d/Å	intensity	hkl
4.842	33	0 4 0
3.303	94	1 1 0
3.268	100	0 0 1
3.228	81	0 6 0
2.535	93	1 5 0
2.323	83	1 1 1
2.297	72	0 6 1
2.003	87	1 5 1
1.407	38	1 11 1
1.373	29	1 5 2

Atomic structure:
Unit cell a=3.352 b=19.370 c=3.268 alpha=90.00 beta=90.00 gamma=90.00
Space group Cmmm (No. 65)
Asymmetric unit:
Li  0.000  0.086  0.000 (multiplicity 4)
Sn  0.000  0.319  0.500 (multiplicity 4)
Hg  0.000  0.500  0.500 (multiplicity 2)

***

[4]
Computed powder X-ray diffraction pattern of LiSn3Hg6 for Cu Kα (weighted mean of Kα1 and Kα2), from a PBE-relaxed structure.

Top 10 peaks for 2θ from 15° to 90°, low angle first:
d/Å	intensity	hkl
3.076	49	0 3 1
3.050	73	1 1 0
2.987	55	0 2 -2
2.807	64	0 3 2
2.778	81	0 1 -3
2.620	100	1 2 1
2.612	98	-1 2 1
2.253	50	0 2 4
2.242	61	1 0 3
2.230	77	1 0 -3

Atomic structure:
Unit cell a=3.232 b=9.318 c=9.470 alpha=78.99 beta=89.72 gamma=89.90
Space group P1 (No. 1)
Asymmetric unit:
Li  0.000  0.000  0.000 (multiplicity 1)
Sn  0.004  0.442  0.233 (multiplicity 1)
Sn  0.506  0.426  0.530 (multiplicity 1)
Sn  0.998  0.701  0.602 (multiplicity 1)
Hg  0.499  0.233  0.821 (multiplicity 1)
Hg  0.500  0.180  0.158 (multiplicity 1)
Hg  0.501  0.741  0.100 (multiplicity 1)
Hg  0.505  0.914  0.772 (multiplicity 1)
Hg  0.997  0.909  0.327 (multiplicity 1)
Hg  0.999  0.520  0.900 (multiplicity 1)

***

[5]
Computed powder X-ray diffraction pattern of Li2Sn6Hg for Cu Kα (weighted mean of Kα1 and Kα2), from a PBE-relaxed structure.

Top 10 peaks for 2θ from 15° to 90°, low angle first:
d/Å	intensity	hkl
4.360	16	2 0 1
4.138	32	1 1 0
2.693	100	3 1 1
2.647	98	3 1 -2
2.420	37	6 0 -1
2.373	35	0 0 3
2.168	28	0 2 0
1.614	23	6 2 -1
1.601	21	0 2 3
1.430	28	9 1 -3

Atomic structure:
Unit cell a=14.523 b=4.335 c=7.458 alpha=90.00 beta=107.33 gamma=90.00
Space group C2/m (No. 12)
Asymmetric unit:
Li  0.058  0.000  0.316 (multiplicity 4)
Sn  0.099  0.500  0.651 (multiplicity 4)
Sn  0.164  0.000  0.987 (multiplicity 4)
Sn  0.223  0.500  0.337 (multiplicity 4)
Hg  0.000  0.500  0.000 (multiplicity 2)

***

[6]
Computed powder X-ray diffraction pattern of Li6SnHg12 for Cu Kα (weighted mean of Kα1 and Kα2), from a PBE-relaxed structure.

Top 10 peaks for 2θ from 15° to 90°, low angle first:
d/Å	intensity	hkl
4.232	20	0 0 3
3.728	27	2 0 2
3.359	100	2 1 1
2.505	62	1 3 1
2.486	34	0 3 3
2.448	46	0 1 5
2.371	25	3 1 2
2.346	77	3 -1 4
2.252	20	2 2 3
2.011	21	4 1 0

Atomic structure:
Unit cell a=10.6397 b=10.6397 c=12.6946 alpha=90.00 beta=90.00 gamma=120.00
Space group R-3 (No. 148, hexagonal axes)
Asymmetric unit:
Li  0.0191  0.4294  0.2038 (multiplicity 18)
Sn  0.0000  0.0000  0.5000 (multiplicity 3)
Hg  0.0252  0.1977  0.3185 (multiplicity 18)
Hg  0.0480  0.8398  0.9090 (multiplicity 18)

***

[7]
Computed powder X-ray diffraction pattern of Li7Sn6Hg16 for Cu Kα (weighted mean of Kα1 and Kα2), from a PBE-relaxed structure.

Top 10 peaks for 2θ from 15° to 90°, low angle first:
d/Å	intensity	hkl
4.001	11	2 2 2
3.465	55	4 0 0
2.667	38	3 3 3
2.450	100	4 4 0
2.001	11	4 4 4
1.805	14	5 5 3
1.733	11	8 0 0
1.453	15	9 3 1
1.415	17	8 4 4
1.340	16	7 7 3

Atomic structure:
Unit cell a=13.861 b=13.861 c=13.861 alpha=90.00 beta=90.00 gamma=90.00
Space group Fm-3m (No. 225)
Asymmetric unit:
Li  0.000  0.000  0.000 (multiplicity 4)
Li  0.000  0.250  0.250 (multiplicity 24)
Sn  0.000  0.000  0.279 (multiplicity 24)
Hg  0.121  0.121  0.121 (multiplicity 32)
Hg  0.152  0.152  0.348 (multiplicity 32)

***

[8]
Computed powder X-ray diffraction pattern of LiSnHg6 for Cu Kα (weighted mean of Kα1 and Kα2), from a PBE-relaxed structure.

Top 10 peaks for 2θ from 15° to 90°, low angle first:
d/Å	intensity	hkl
3.046	82	0 0 2
2.858	22	1 -1 1
2.747	55	0 2 0
2.716	100	2 0 0
2.687	28	2 1 1
2.665	30	1 2 -1
2.648	57	2 1 -1
2.520	43	2 2 0
2.020	27	0 2 -2
1.374	22	-3 1 2

Atomic structure:
Unit cell a=5.961 b=6.034 c=6.094 alpha=88.61 beta=89.08 gamma=65.59
Space group P-1 (No. 2)
Asymmetric unit:
Li  0.000  0.000  0.000 (multiplicity 1)
Sn  0.000  0.000  0.500 (multiplicity 1)
Hg  0.027  0.553  0.242 (multiplicity 2)
Hg  0.415  0.586  0.760 (multiplicity 2)
Hg  0.456  0.970  0.241 (multiplicity 2)